For Ag7Pt5, a crystal structure in Alexandria, relaxed with PBE gives the calculated X-ray powder pattern in this record (Cu Kα, 1.54184 Å).

```
data_Ag7Pt5
_chemical_formula_sum 'Ag14 Pt10'
_space_group_name_H-M_alt 'I m m 2'
_space_group_IT_number 44
_cell_length_a 4.0778
_cell_length_b 8.1070
_cell_length_c 12.1505
_cell_angle_alpha 90.00
_cell_angle_beta 90.00
_cell_angle_gamma 90.00
loop_
_space_group_symop_operation_xyz
'x,y,z'
'-x,-y,z'
'-x,y,z'
'x,-y,z'
'x+1/2,y+1/2,z+1/2'
'-x+1/2,-y+1/2,z+1/2'
'-x+1/2,y+1/2,z+1/2'
'x+1/2,-y+1/2,z+1/2'
loop_
_atom_site_label
_atom_site_type_symbol
_atom_site_fract_x
_atom_site_fract_y
_atom_site_fract_z
Ag1 Ag 0.0000 0.0000 0.0000
Ag2 Ag 0.0000 0.0000 0.3337
Ag3 Ag 0.0000 0.2493 0.8347
Ag4 Ag 0.0000 0.2533 0.1672
Ag5 Ag 0.0000 0.5000 0.6638
Pt1 Pt 0.0000 0.0000 0.6656
Pt2 Pt 0.0000 0.2435 0.5004
Pt3 Pt 0.0000 0.5000 0.0035
Pt4 Pt 0.0000 0.5000 0.3373
```

Peak list (10 most intense, 15 to 90 degrees two-theta, sorted by position)
2θ/deg  I (rel.)
23.01  2
28.57  1
38.40  100
44.43  17
44.73  32
64.88  21
65.12  10
77.77  12
78.20  24
82.25  11